Simulated powder XRD pattern of LiVP2O7 for λ = 1.5418 Å (Cu Kα), from the GGA+U geometry in Alexandria.
Lines closer than 0.1° are merged.

Structure:
```
LiVP2O7
1.0
4.986 -4.197 0.000
4.986 4.197 0.000
-2.984 0.000 6.045
Li V P O
2 2 4 14
direct
0.173 0.827 0.000
0.827 0.173 0.000
0.317 0.683 0.500
0.683 0.317 0.500
0.223 0.223 0.555
0.306 0.306 0.055
0.694 0.694 0.945
0.777 0.777 0.445
0.018 0.717 0.531
0.146 0.146 0.023
0.240 0.549 0.164
0.283 0.982 0.469
0.309 0.309 0.818
0.358 0.358 0.496
0.451 0.760 0.836
0.549 0.240 0.164
0.642 0.642 0.504
0.691 0.691 0.182
0.717 0.018 0.531
0.760 0.451 0.836
0.854 0.854 0.977
0.982 0.283 0.469
```

The 6 most intense peaks (15° ≤ 2θ ≤ 90°), by angle:
4.733 Å, intensity 42.0; 4.197 Å, intensity 28.8; 3.086 Å, intensity 61.5; 3.060 Å, intensity 100.0; 3.022 Å, intensity 77.3; 1.610 Å, intensity 26.5

Simulated powder XRD pattern of Li2VP2O8 for λ = 1.5418 Å (Cu Kα), from the GGA+U geometry in Alexandria.
Lines closer than 0.1° are merged.

Structure:
```
Li2VP2O8
1.0
4.464 -2.413 0.000
4.464 2.413 0.000
-2.331 0.000 15.521
Li V P O
4 2 4 16
direct
0.162 0.838 0.500
0.406 0.948 0.882
0.838 0.162 0.000
0.948 0.406 0.382
0.419 0.844 0.692
0.844 0.419 0.192
0.081 0.475 0.587
0.216 0.761 0.298
0.475 0.081 0.087
0.761 0.216 0.798
0.007 0.061 0.728
0.061 0.007 0.228
0.113 0.521 0.279
0.115 0.232 0.090
0.130 0.938 0.386
0.232 0.115 0.590
0.336 0.555 0.615
0.521 0.113 0.779
0.555 0.336 0.115
0.574 0.581 0.792
0.581 0.574 0.292
0.583 0.951 0.996
0.648 0.818 0.152
0.818 0.648 0.652
0.938 0.130 0.886
0.951 0.583 0.496
```

The 6 most intense peaks (15° ≤ 2θ ≤ 90°), by angle:
4.415 Å, intensity 21.2; 4.161 Å, intensity 80.7; 4.013 Å, intensity 19.0; 3.614 Å, intensity 68.8; 3.398 Å, intensity 100.0; 2.532 Å, intensity 36.6

Simulated powder XRD pattern of LiVP4O12 for λ = 1.5418 Å (Cu Kα), from the GGA+U geometry in Alexandria.
Lines closer than 0.1° are merged.

Structure:
```
LiVP4O12
1.0
7.727 -3.685 0.000
7.727 3.685 0.000
-5.166 0.000 8.297
Li V P O
2 2 8 24
direct
0.193 0.807 0.750
0.807 0.193 0.250
0.363 0.637 0.250
0.637 0.363 0.750
0.052 0.212 0.640
0.196 0.533 0.840
0.212 0.052 0.140
0.467 0.804 0.660
0.533 0.196 0.340
0.788 0.948 0.860
0.804 0.467 0.160
0.948 0.788 0.360
0.008 0.831 0.537
0.012 0.259 0.206
0.100 0.706 0.272
0.141 0.362 0.714
0.169 0.992 0.963
0.249 0.530 0.009
0.259 0.012 0.706
0.294 0.900 0.228
0.351 0.512 0.790
0.362 0.141 0.214
0.470 0.751 0.491
0.488 0.649 0.710
0.512 0.351 0.290
0.530 0.249 0.509
0.638 0.859 0.786
0.649 0.488 0.210
0.706 0.100 0.772
0.741 0.988 0.294
0.751 0.470 0.991
0.831 0.008 0.037
0.859 0.638 0.286
0.900 0.294 0.728
0.988 0.741 0.794
0.992 0.169 0.463
```

The 6 most intense peaks (15° ≤ 2θ ≤ 90°), by angle:
4.851 Å, intensity 54.0; 4.222 Å, intensity 33.1; 4.148 Å, intensity 61.2; 3.763 Å, intensity 32.1; 3.297 Å, intensity 100.0; 3.280 Å, intensity 28.5

Simulated powder XRD pattern of Li3V4P6O24 for λ = 1.5418 Å (Cu Kα), from the GGA+U geometry in Alexandria.
Lines closer than 0.1° are merged.

Structure:
```
Li3V4P6O24
1.0
8.538 0.000 0.000
4.199 7.478 0.000
4.193 2.492 7.064
Li V P O
3 4 6 24
direct
0.000 0.000 0.000
0.147 0.406 0.710
0.529 0.548 0.429
0.133 0.187 0.111
0.348 0.403 0.329
0.626 0.690 0.607
0.842 0.910 0.829
0.021 0.801 0.432
0.237 0.588 0.923
0.446 0.084 0.723
0.531 0.005 0.219
0.738 0.510 0.008
0.945 0.300 0.512
0.051 0.959 0.236
0.075 0.782 0.901
0.103 0.346 0.503
0.186 0.430 0.935
0.203 0.626 0.438
0.247 0.107 0.883
0.279 0.541 0.096
0.366 0.053 0.154
0.408 0.610 0.737
0.428 0.280 0.566
0.482 0.925 0.663
0.495 0.161 0.280
0.540 0.811 0.381
0.573 0.497 0.196
0.601 0.041 0.794
0.690 0.545 0.840
0.724 0.982 0.058
0.756 0.468 0.517
0.801 0.671 0.968
0.854 0.751 0.462
0.908 0.320 0.025
0.912 0.135 0.701
0.974 0.867 0.590
0.999 0.250 0.338
```

The 6 most intense peaks (15° ≤ 2θ ≤ 90°), by angle:
4.325 Å, intensity 35.6; 4.290 Å, intensity 41.8; 3.685 Å, intensity 50.8; 3.668 Å, intensity 100.0; 3.037 Å, intensity 29.9; 2.497 Å, intensity 28.7

Simulated powder XRD pattern of LiVP2O7 for λ = 1.5418 Å (Cu Kα), from the GGA+U geometry in Alexandria.
Lines closer than 0.1° are merged.

Structure:
```
LiVP2O7
1.0
6.307 0.000 0.000
-2.600 5.960 0.000
-2.093 -2.164 7.438
Li V P O
2 2 4 14
direct
0.000 0.000 0.000
0.000 0.000 0.500
0.398 0.686 0.235
0.602 0.314 0.765
0.171 0.442 0.780
0.445 0.223 0.312
0.555 0.777 0.688
0.829 0.558 0.220
0.105 0.649 0.298
0.237 0.236 0.753
0.272 0.592 0.648
0.279 0.314 0.202
0.288 0.598 0.970
0.403 0.992 0.199
0.411 0.210 0.494
0.589 0.790 0.506
0.597 0.008 0.801
0.712 0.402 0.030
0.721 0.686 0.798
0.728 0.408 0.352
0.763 0.764 0.247
0.895 0.351 0.702
```

The 6 most intense peaks (15° ≤ 2θ ≤ 90°), by angle:
5.723 Å, intensity 68.3; 5.414 Å, intensity 85.7; 5.309 Å, intensity 32.6; 3.719 Å, intensity 100.0; 3.208 Å, intensity 48.0; 2.890 Å, intensity 46.5